# 1
For La6Tb5Ho, a cell relaxed with PBE gives the computed powder diffractogram in this record (CuKα).
Neutral-atom scattering factors, no anomalous dispersion.

Atomic structure:
a = 5.230 Å, b = 10.053 Å, c = 15.659 Å
α = 90.00°, β = 90.00°, γ = 90.00°
Space group Immm (No. 71)
Unique sites:
La (0.000, 0.249, 0.000)
La (0.000, 0.250, 0.333)
Tb (0.000, 0.000, 0.167)
Tb (0.000, 0.000, 0.500)
Tb (0.000, 0.500, 0.167)
Ho (0.000, 0.500, 0.500)

The 6 most intense peaks (15° ≤ 2θ ≤ 90°), low angle first:
2theta, I/Imax, (hkl)
30.02, 1000, 1 2 3
34.33, 351, 2 0 0
35.73, 157, 0 4 0
50.38, 237, 2 4 0
58.83, 297, 3 2 3
60.69, 135, 1 6 3

# 2
For La4Tb4Ho3, a cell relaxed with PBE gives the computed powder diffractogram in this record (CuKα).
Neutral-atom scattering factors, no anomalous dispersion.

Atomic structure:
a = 36.443 Å, b = 3.542 Å, c = 5.741 Å
α = 90.00°, β = 99.04°, γ = 90.00°
Space group C2/m (No. 12)
Unique sites:
La (0.092, 0.000, 0.091)
La (0.230, 0.000, 0.730)
Tb (0.045, 0.000, 0.544)
Tb (0.182, 0.000, 0.182)
Ho (0.000, 0.500, 0.000)
Ho (0.136, 0.500, 0.636)

The 6 most intense peaks (15° ≤ 2θ ≤ 90°), low angle first:
2theta, I/Imax, (hkl)
30.65, 405, 7 1 0
31.16, 517, 2 0 -2
31.29, 861, 3 1 1
31.47, 1000, 10 0 1
44.27, 296, 9 1 -2
61.71, 292, 10 2 1